# 1
CaPr2DyTe4: calculated powder diffraction line list (copper Kα), based on a DFT-relaxed cell (PBE, Alexandria).

Crystal structure
abc: 7.7026 4.4235 7.8592
angles: 90.00 108.75 90.00
Sites, in units of the cell vectors:
Ca (0.0000, 0.0000, 0.0000)
Pr (0.0000, 0.5000, 0.5000)
Pr (0.5000, 0.0000, 0.5000)
Dy (0.5000, 0.5000, 0.0000)
Te (0.2486, 0.5000, 0.2385)
Te (0.2560, 0.0000, 0.7634)
Te (0.7440, 0.0000, 0.2366)
Te (0.7514, 0.5000, 0.7615)

Main lines, sorted by position (2θ from 10° to 80°):
3.164 Å, 2θ = 28.2°, I 100; 2.266 Å, 2θ = 39.8°, I 13; 2.254 Å, 2θ = 40.0°, I 25; 2.221 Å, 2θ = 40.6°, I 25; 2.212 Å, 2θ = 40.8°, I 12; 1.861 Å, 2θ = 49.0°, I 7; 1.823 Å, 2θ = 50.0°, I 7; 1.812 Å, 2θ = 50.3°, I 13; 1.582 Å, 2θ = 58.3°, I 13; 1.423 Å, 2θ = 65.6°, I 11; 1.406 Å, 2θ = 66.5°, I 11; 1.286 Å, 2θ = 73.7°, I 8



# 2
PuB2Os: calculated powder diffraction line list (copper Kα), based on a DFT-relaxed cell (PBE, Alexandria).

Crystal structure
abc: 5.7586 5.3628 6.4467
angles: 90.00 90.00 90.00
Sites, in units of the cell vectors:
Pu (0.0020, 0.2500, 0.1650)
Pu (0.4980, 0.7500, 0.6650)
Pu (0.5020, 0.2500, 0.3350)
Pu (0.9980, 0.7500, 0.8350)
B (0.1345, 0.5843, 0.4635)
B (0.1345, 0.9157, 0.4635)
B (0.3655, 0.0843, 0.9635)
B (0.3655, 0.4157, 0.9635)
B (0.6345, 0.5843, 0.0365)
B (0.6345, 0.9157, 0.0365)
B (0.8655, 0.0843, 0.5365)
B (0.8655, 0.4157, 0.5365)
Os (0.1869, 0.2500, 0.6858)
Os (0.3131, 0.7500, 0.1858)
Os (0.6869, 0.2500, 0.8142)
Os (0.8131, 0.7500, 0.3142)

Main lines, sorted by position (2θ from 10° to 80°):
4.295 Å, 2θ = 20.7°, I 13; 3.223 Å, 2θ = 27.7°, I 28; 2.681 Å, 2θ = 33.4°, I 58; 2.491 Å, 2θ = 36.1°, I 75; 2.361 Å, 2θ = 38.1°, I 100; 2.061 Å, 2θ = 43.9°, I 20; 1.885 Å, 2θ = 48.3°, I 13; 1.509 Å, 2θ = 61.5°, I 16; 1.491 Å, 2θ = 62.3°, I 17; 1.478 Å, 2θ = 62.9°, I 24; 1.432 Å, 2θ = 65.2°, I 16; 1.263 Å, 2θ = 75.2°, I 22



# 3
CePd5Au7: calculated powder diffraction line list (copper Kα), based on a DFT-relaxed cell (PBE, Alexandria).

Crystal structure
abc: 7.1423 7.1423 7.1423
angles: 134.23 98.35 99.04
Sites, in units of the cell vectors:
Ce (0.0000, 0.0000, 0.0000)
Pd (0.2076, 0.7076, 0.5000)
Pd (0.4810, 0.4824, 0.4963)
Pd (0.4810, 0.9847, 0.9986)
Pd (0.9861, 0.4824, 0.0014)
Pd (0.9861, 0.9847, 0.5037)
Au (0.1921, 0.4851, 0.7069)
Au (0.3241, 0.9815, 0.3426)
Au (0.3335, 0.3335, 0.0000)
Au (0.6388, 0.9815, 0.6574)
Au (0.6547, 0.6547, 0.0000)
Au (0.7600, 0.2600, 0.5000)
Au (0.7782, 0.4851, 0.2931)

Main lines, sorted by position (2θ from 10° to 80°):
2.777 Å, 2θ = 32.2°, I 36; 2.715 Å, 2θ = 33.0°, I 39; 2.701 Å, 2θ = 33.2°, I 21; 2.384 Å, 2θ = 37.7°, I 47; 2.341 Å, 2θ = 38.5°, I 100; 2.335 Å, 2θ = 38.6°, I 22; 2.318 Å, 2θ = 38.8°, I 28; 2.122 Å, 2θ = 42.6°, I 74; 2.097 Å, 2θ = 43.1°, I 16; 2.085 Å, 2θ = 43.4°, I 37; 1.504 Å, 2θ = 61.6°, I 25; 1.343 Å, 2θ = 70.1°, I 20



# 4
BaCoBiP: calculated powder diffraction line list (copper Kα), based on a DFT-relaxed cell (PBE, Alexandria).

Crystal structure
abc: 4.2392 4.2392 11.6030
angles: 90.00 90.00 90.00
Sites, in units of the cell vectors:
Ba (0.2500, 0.2500, 0.2275)
Ba (0.7500, 0.7500, 0.7725)
Co (0.2500, 0.7500, 0.0000)
Co (0.7500, 0.2500, 0.0000)
Bi (0.2500, 0.7500, 0.5000)
Bi (0.7500, 0.2500, 0.5000)
P (0.2500, 0.2500, 0.9152)
P (0.7500, 0.7500, 0.0848)

Main lines, sorted by position (2θ from 10° to 80°):
5.801 Å, 2θ = 15.3°, I 29; 3.982 Å, 2θ = 22.3°, I 25; 3.868 Å, 2θ = 23.0°, I 17; 2.902 Å, 2θ = 30.8°, I 60; 2.857 Å, 2θ = 31.3°, I 19; 2.663 Å, 2θ = 33.7°, I 100; 2.120 Å, 2θ = 42.7°, I 33; 2.085 Å, 2θ = 43.4°, I 14; 1.711 Å, 2θ = 53.5°, I 25; 1.625 Å, 2θ = 56.6°, I 23; 1.332 Å, 2θ = 70.8°, I 17; 1.306 Å, 2θ = 72.4°, I 32



# 5
Pu3TlPt2: calculated powder diffraction line list (copper Kα), based on a DFT-relaxed cell (PBE, Alexandria).

Crystal structure
abc: 3.4022 3.4022 12.2219
angles: 90.00 90.00 90.00
Sites, in units of the cell vectors:
Pu (0.0000, 0.0000, 0.0000)
Pu (0.0000, 0.0000, 0.3005)
Pu (0.0000, 0.0000, 0.6995)
Tl (0.5000, 0.5000, 0.5000)
Pt (0.5000, 0.5000, 0.1530)
Pt (0.5000, 0.5000, 0.8470)

Main lines, sorted by position (2θ from 10° to 80°):
2.973 Å, 2θ = 30.1°, I 4; 2.611 Å, 2θ = 34.3°, I 100; 2.406 Å, 2θ = 37.4°, I 47; 2.273 Å, 2θ = 39.6°, I 10; 2.037 Å, 2θ = 44.5°, I 7; 1.701 Å, 2θ = 53.9°, I 17; 1.554 Å, 2θ = 59.5°, I 16; 1.425 Å, 2θ = 65.5°, I 32; 1.413 Å, 2θ = 66.1°, I 6; 1.362 Å, 2θ = 68.9°, I 4; 1.306 Å, 2θ = 72.4°, I 7; 1.203 Å, 2θ = 79.7°, I 5



# 6
CaEuGaIr: calculated powder diffraction line list (copper Kα), based on a DFT-relaxed cell (PBE, Alexandria).

Crystal structure
abc: 5.0374 5.0374 5.0374
angles: 60.00 60.00 60.00
Sites, in units of the cell vectors:
Ca (0.0000, 0.0000, 0.0000)
Eu (0.5000, 0.5000, 0.5000)
Ga (0.2500, 0.2500, 0.2500)
Ir (0.7500, 0.7500, 0.7500)

Main lines, sorted by position (2θ from 10° to 80°):
4.113 Å, 2θ = 21.6°, I 28; 3.562 Å, 2θ = 25.0°, I 3; 2.519 Å, 2θ = 35.6°, I 100; 2.148 Å, 2θ = 42.1°, I 16; 2.057 Å, 2θ = 44.0°, I 1; 1.781 Å, 2θ = 51.3°, I 18; 1.634 Å, 2θ = 56.3°, I 7; 1.593 Å, 2θ = 57.9°, I 1; 1.454 Å, 2θ = 64.0°, I 36; 1.371 Å, 2θ = 68.4°, I 5; 1.259 Å, 2θ = 75.5°, I 11; 1.204 Å, 2θ = 79.6°, I 5